For TiMn2O4, a DFT-relaxed cell (PBE+U, Alexandria) gives the theoretical powder diffraction line list in this record (λ = 1.5418 Å (Cu Kα)).
No peak broadening, texture or thermal motion is included.

Structure:
```
data_TiMn2O4
_chemical_formula_sum 'Ti4 Mn8 O16'
_cell_length_a 6.243
_cell_length_b 6.243
_cell_length_c 8.706
_cell_angle_alpha 90.00
_cell_angle_beta 90.00
_cell_angle_gamma 90.00
_symmetry_space_group_name_H-M 'P 43 2 2'
_symmetry_Int_Tables_number 95
loop_
_symmetry_equiv_pos_as_xyz
'x,y,z'
'-y,x,z+3/4'
'-x,-y,z+1/2'
'y,-x,z+1/4'
'x,-y,-z+1/2'
'-y,-x,-z+3/4'
'-x,y,-z'
'y,x,-z+1/4'
loop_
_atom_site_label
_atom_site_fract_x
_atom_site_fract_y
_atom_site_fract_z
_atom_site_occupancy
Ti1 0.000 0.255 0.000 1
Mn1 0.244 0.500 0.250 1
Mn2 0.248 0.248 0.625 1
O1 0.015 0.229 0.228 1
O2 0.228 0.462 0.996 1
```

Largest 8 diffraction maxima, in order of falling intensity, 5° ≤ 2θ ≤ 70°:
h k l, Position (°2θ), I (rel.)
2 1 1, 33.71, 100
1 0 3, 34.07, 52
2 2 4, 59.66, 46
3 2 1, 54.00, 34
1 1 2, 28.80, 32
4 0 0, 59.20, 23
2 2 0, 40.89, 20
2 0 0, 28.60, 16